Computed powder XRD pattern
Compound: Ho3ZrRh3
Radiation: Cu Kα (λ = 1.5418 Å)
Structure: a DFT-relaxed cell (PBE, Alexandria)
Lines closer than 0.1° are merged.

The 12 most intense peaks (2θ from 15° to 90°), sorted by position:
26.0°, 3.433 Å, intensity 15, (2 2 0)
32.6°, 2.745 Å, intensity 31, (1 3 -1)
33.1°, 2.704 Å, intensity 31, (3 1 1)
33.9°, 2.648 Å, intensity 23, (1 3 1)
35.2°, 2.549 Å, intensity 50, (4 0 0)
35.9°, 2.498 Å, intensity 100, (2 2 -2)
38.8°, 2.322 Å, intensity 35, (0 4 0)
40.3°, 2.238 Å, intensity 89, (2 2 2)
40.4°, 2.234 Å, intensity 15, (4 2 0)
53.8°, 1.705 Å, intensity 21, (5 3 -1)
56.8°, 1.621 Å, intensity 15, (0 0 4)
59.5°, 1.553 Å, intensity 14, (3 5 1)

Unit cell a=10.330 b=9.290 c=6.574 alpha=90.00 beta=99.38 gamma=90.00
Space group C2/m (No. 12)
Inequivalent atoms, fractional coordinates:
Ho 0.000 0.191 0.000 (multiplicity 4)
Ho 0.000 0.286 0.500 (multiplicity 4)
Ho 0.200 0.500 0.008 (multiplicity 4)
Zr 0.214 0.000 0.452 (multiplicity 4)
Rh 0.051 0.000 0.711 (multiplicity 4)
Rh 0.247 0.251 0.742 (multiplicity 8)



Computed powder XRD pattern
Compound: Ni4Ge3As9
Radiation: Cu Kα (λ = 1.5418 Å)
Structure: a DFT-relaxed cell (PBE, Alexandria)
Lines closer than 0.1° are merged.

The 12 most intense peaks (2θ from 15° to 90°), sorted by position:
33.7°, 2.663 Å, intensity 100, (1 3 -1)
33.9°, 2.646 Å, intensity 98, (3 1 0)
34.1°, 2.632 Å, intensity 97, (4 0 -3)
40.2°, 2.243 Å, intensity 29, (3 3 -2)
40.3°, 2.239 Å, intensity 28, (2 2 1)
48.4°, 1.881 Å, intensity 37, (2 4 0)
48.8°, 1.866 Å, intensity 41, (6 0 -2)
53.4°, 1.715 Å, intensity 22, (4 4 -2)
53.7°, 1.708 Å, intensity 22, (6 2 -2)
53.8°, 1.703 Å, intensity 21, (2 2 -4)
55.8°, 1.648 Å, intensity 25, (2 4 1)
56.1°, 1.639 Å, intensity 38, (5 3 -4)

Unit cell a=11.790 b=8.431 c=8.317 alpha=90.00 beta=134.83 gamma=90.00
Space group Cm (No. 8)
Inequivalent atoms, fractional coordinates:
Ni 0.000 0.247 0.000 (multiplicity 4)
Ni 0.497 0.250 0.494 (multiplicity 4)
Ge 0.096 0.000 0.496 (multiplicity 2)
Ge 0.406 0.000 0.505 (multiplicity 2)
Ge 0.406 0.000 0.809 (multiplicity 2)
As 0.095 0.156 0.841 (multiplicity 4)
As 0.096 0.000 0.196 (multiplicity 2)
As 0.248 0.347 0.652 (multiplicity 4)
As 0.250 0.348 0.340 (multiplicity 4)
As 0.398 0.154 0.147 (multiplicity 4)



Computed powder XRD pattern
Compound: HfSc2Cu
Radiation: Cu Kα (λ = 1.5418 Å)
Structure: a DFT-relaxed cell (PBE, Alexandria)
Lines closer than 0.1° are merged.

The 12 most intense peaks (2θ from 15° to 90°), sorted by position:
17.1°, 5.179 Å, intensity 64, (0 0 6)
25.8°, 3.452 Å, intensity 27, (0 0 9)
33.8°, 2.649 Å, intensity 44, (1 0 1)
34.2°, 2.621 Å, intensity 100, (0 1 2)
34.6°, 2.589 Å, intensity 35, (0 0 12)
35.7°, 2.516 Å, intensity 36, (1 0 4)
41.1°, 2.194 Å, intensity 55, (0 1 8)
44.9°, 2.020 Å, intensity 68, (1 0 10)
46.9°, 1.936 Å, intensity 19, (0 1 11)
60.3°, 1.535 Å, intensity 27, (1 1 0)
70.2°, 1.341 Å, intensity 17, (0 1 20)
71.4°, 1.320 Å, intensity 24, (1 1 12)

Unit cell a=3.0701 b=3.0701 c=31.0718 alpha=90.00 beta=90.00 gamma=120.00
Space group R-3m (No. 166, hexagonal axes)
Inequivalent atoms, fractional coordinates:
Hf 0.0000 0.0000 0.0000 (multiplicity 3)
Sc 0.0000 0.0000 0.0977 (multiplicity 6)
Cu 0.0000 0.0000 0.5000 (multiplicity 3)